Entry 1:
This entry pairs a crystal structure of Ba2CaCo2CuF14 with its simulated PXRD pattern. Radiation: CuKα. Structure: a DFT-relaxed cell (GGA+U, Alexandria).
No peak broadening, texture or thermal motion is included.

Atomic structure:
```
data_Ba2CaCo2CuF14
_cell_length_a 13.8831
_cell_length_b 5.4675
_cell_length_c 14.9710
_cell_angle_alpha 90.00
_cell_angle_beta 92.19
_cell_angle_gamma 90.00
_symmetry_space_group_name_H-M 'C 1 2 1'
_symmetry_Int_Tables_number 5
loop_
_symmetry_equiv_pos_as_xyz
'x,y,z'
'-x,y,-z'
'x+1/2,y+1/2,z'
'-x+1/2,y+1/2,-z'
loop_
_atom_site_label
_atom_site_type_symbol
_atom_site_fract_x
_atom_site_fract_y
_atom_site_fract_z
_atom_site_occupancy
Ba1 Ba 0.1902 0.0000 0.3750 1
Ba2 Ba 0.1905 0.8406 0.8750 1
Ca1 Ca 0.0000 0.3345 0.0000 1
Ca2 Ca 0.0000 0.5055 0.5000 1
Co1 Co 0.1211 0.8881 0.1262 1
Co2 Co 0.1213 0.9520 0.6262 1
Cu1 Cu 0.9997 0.4204 0.2500 1
F1 F 0.0047 0.8544 0.4031 1
F2 F 0.0049 0.9855 0.9031 1
F3 F 0.0543 0.3655 0.3665 1
F4 F 0.0548 0.4746 0.8667 1
F5 F 0.0841 0.7050 0.2333 1
F6 F 0.0846 0.1353 0.7333 1
F7 F 0.1208 0.2234 0.5409 1
F8 F 0.1208 0.6164 0.0411 1
F9 F 0.1401 0.1738 0.2062 1
F10 F 0.1404 0.6665 0.7063 1
F11 F 0.1585 0.1106 0.0267 1
F12 F 0.1585 0.7292 0.5267 1
F13 F 0.2504 0.0225 0.6507 1
F14 F 0.2499 0.3178 0.8489 1
```

Most intense lines, 15 to 90 degrees two-theta, by angle:
h k l  2theta  I (rel.)
0 0 4  23.8  29
3 1 0  25.2  100
2 0 -4  26.6  23
2 0 4  27.6  48
1 1 -4  29.4  39
1 1 4  29.8  25
2 2 3  40.0  24
0 2 4  40.9  18
6 0 2  41.3  20
7 1 2  50.9  17

***

Entry 2:
This entry pairs a crystal structure of BaCaCoF7 with its simulated PXRD pattern. Radiation: CuKα. Structure: a DFT-relaxed cell (GGA+U, Alexandria).
No peak broadening, texture or thermal motion is included.

Atomic structure:
```
data_BaCaCoF7
_cell_length_a 5.6945
_cell_length_b 10.9686
_cell_length_c 9.4800
_cell_angle_alpha 90.00
_cell_angle_beta 92.57
_cell_angle_gamma 90.00
_symmetry_space_group_name_H-M 'P 1 21/c 1'
_symmetry_Int_Tables_number 14
loop_
_symmetry_equiv_pos_as_xyz
'x,y,z'
'-x,-y,-z'
'-x,y+1/2,-z+1/2'
'x,-y+1/2,z+1/2'
loop_
_atom_site_label
_atom_site_type_symbol
_atom_site_fract_x
_atom_site_fract_y
_atom_site_fract_z
_atom_site_occupancy
Ba1 Ba 0.2245 0.1565 0.4733 1
Ca1 Ca 0.2205 0.5709 0.3653 1
Co1 Co 0.3042 0.6561 0.7047 1
F1 F 0.0251 0.7383 0.7758 1
F2 F 0.1149 0.5219 0.1430 1
F3 F 0.1450 0.5149 0.6134 1
F4 F 0.2191 0.7353 0.5323 1
F5 F 0.3968 0.5624 0.8593 1
F6 F 0.4143 0.1078 0.9010 1
F7 F 0.4936 0.7039 0.2747 1
```

Most intense lines, 15 to 90 degrees two-theta, by angle:
h k l  2theta  I (rel.)
1 2 -1  24.1  100
1 2 1  24.7  37
1 1 -2  25.3  45
0 3 1  26.1  26
1 1 2  26.3  51
1 3 1  30.8  24
2 0 0  31.5  26
0 3 3  37.6  38
0 2 4  41.5  32
3 2 -1  51.5  23

***

Entry 3:
This entry pairs a crystal structure of Ba2CaV2CoF14 with its simulated PXRD pattern. Radiation: CuKα. Structure: a DFT-relaxed cell (GGA+U, Alexandria).
No peak broadening, texture or thermal motion is included.

Atomic structure:
```
data_Ba2CaV2CoF14
_cell_length_a 13.9294
_cell_length_b 5.4466
_cell_length_c 15.1716
_cell_angle_alpha 90.00
_cell_angle_beta 91.26
_cell_angle_gamma 90.00
_symmetry_space_group_name_H-M 'C 1 2/c 1'
_symmetry_Int_Tables_number 15
loop_
_symmetry_equiv_pos_as_xyz
'x,y,z'
'-x,-y,-z'
'-x,y,-z+1/2'
'x,-y,z+1/2'
'x+1/2,y+1/2,z'
'-x+1/2,-y+1/2,-z'
'-x+1/2,y+1/2,-z+1/2'
'x+1/2,-y+1/2,z+1/2'
loop_
_atom_site_label
_atom_site_type_symbol
_atom_site_fract_x
_atom_site_fract_y
_atom_site_fract_z
_atom_site_occupancy
Ba1 Ba 0.1896 0.0548 0.1215 1
Ca1 Ca 0.0000 0.4404 0.7500 1
V1 V 0.1185 0.0075 0.3768 1
Co1 Co 0.0000 0.5000 0.0000 1
F1 F 0.0114 0.0846 0.6593 1
F2 F 0.0548 0.4230 0.1195 1
F3 F 0.0807 0.1873 0.4850 1
F4 F 0.1250 0.2895 0.2951 1
F5 F 0.1253 0.2925 0.9539 1
F6 F 0.1628 0.2055 0.7779 1
F7 F 0.2494 0.4319 0.5871 1
```

Most intense lines, 15 to 90 degrees two-theta, by angle:
h k l  2theta  I (rel.)
1 1 2  21.1  23
0 0 4  23.5  26
3 1 0  25.2  100
2 0 -4  26.5  25
3 1 -2  27.7  25
1 1 -4  29.3  34
1 1 4  29.5  27
2 2 3  39.9  22
0 2 4  40.8  24
6 0 2  40.9  22